Record 1
CaOsSe3: simulated PXRD pattern (Cu Kα, 1.54184 Å), based on a crystal structure in Alexandria, relaxed with GGA-PBE.
No peak broadening, texture or thermal motion is included.

Structural model:
```
data_CaOsSe3
_chemical_formula_sum 'Ca1 Os1 Se3'
_cell_length_a 4.9887
_cell_length_b 4.9887
_cell_length_c 4.9887
_cell_angle_alpha 90.00
_cell_angle_beta 90.00
_cell_angle_gamma 90.00
_symmetry_space_group_name_H-M 'P m -3 m'
_symmetry_Int_Tables_number 221
_symmetry_space_group_name_Hall '-P 4 2 3'
loop_
_atom_site_label
_atom_site_type_symbol
_atom_site_fract_x
_atom_site_fract_y
_atom_site_fract_z
Ca1 Ca 0.0000 0.0000 0.0000
Os1 Os 0.5000 0.5000 0.5000
Se1 Se 0.0000 0.5000 0.5000
```

Peak list (8 most intense, 10 to 90 degrees two-theta, most intense first)
17.78°, rel. 100; 36.01°, rel. 77; 51.84°, rel. 54; 40.43°, rel. 52; 25.25°, rel. 39; 55.24°, rel. 27; 87.43°, rel. 25; 64.73°, rel. 18

Record 2
Ca2Si4Os3: simulated PXRD pattern (Cu Kα, 1.54184 Å), based on a crystal structure in Alexandria, relaxed with GGA-PBE.
No peak broadening, texture or thermal motion is included.

Structural model:
```
data_Ca2Si4Os3
_chemical_formula_sum 'Ca8 Si16 Os12'
_cell_length_a 5.6038
_cell_length_b 9.5869
_cell_length_c 11.9974
_cell_angle_alpha 90.00
_cell_angle_beta 90.00
_cell_angle_gamma 90.00
_symmetry_space_group_name_H-M 'F m m m'
_symmetry_Int_Tables_number 69
_symmetry_space_group_name_Hall '-F 2 2'
loop_
_atom_site_label
_atom_site_type_symbol
_atom_site_fract_x
_atom_site_fract_y
_atom_site_fract_z
Ca1 Ca 0.0000 0.0000 0.1340
Si1 Si 0.0000 0.1822 0.3438
Os1 Os 0.0000 0.0000 0.5000
Os2 Os 0.2500 0.2500 0.0000
```

Peak list (8 most intense, 10 to 90 degrees two-theta, most intense first)
14.77°, rel. 100; 40.20°, rel. 46; 37.17°, rel. 28; 48.34°, rel. 23; 40.53°, rel. 21; 19.79°, rel. 20; 39.52°, rel. 19; 37.53°, rel. 16

Record 3
CaSiOs2: simulated PXRD pattern (Cu Kα, 1.54184 Å), based on a crystal structure in Alexandria, relaxed with GGA-PBE.
No peak broadening, texture or thermal motion is included.

Structural model:
```
data_CaSiOs2
_chemical_formula_sum 'Ca1 Si1 Os2'
_cell_length_a 2.9648
_cell_length_b 3.7836
_cell_length_c 6.2212
_cell_angle_alpha 90.00
_cell_angle_beta 101.96
_cell_angle_gamma 90.00
_symmetry_space_group_name_H-M 'P 1 2/m 1'
_symmetry_Int_Tables_number 10
loop_
_symmetry_equiv_pos_as_xyz
'x,y,z'
'-x,-y,-z'
'-x,y,-z'
'x,-y,z'
loop_
_atom_site_label
_atom_site_type_symbol
_atom_site_fract_x
_atom_site_fract_y
_atom_site_fract_z
Ca1 Ca 0.0000 0.0000 0.0000
Si1 Si 0.0000 0.0000 0.5000
Os1 Os 0.3642 0.5000 0.6921
```

Peak list (8 most intense, 10 to 90 degrees two-theta, most intense first)
23.51°, rel. 100; 37.94°, rel. 80; 38.17°, rel. 63; 39.13°, rel. 60; 44.30°, rel. 49; 14.55°, rel. 48; 36.99°, rel. 47; 45.32°, rel. 37

Record 4
CaSiOs2: simulated PXRD pattern (Cu Kα, 1.54184 Å), based on a crystal structure in Alexandria, relaxed with GGA-PBE.
No peak broadening, texture or thermal motion is included.

Structural model:
```
data_CaSiOs2
_chemical_formula_sum 'Ca1 Si1 Os2'
_cell_length_a 2.8906
_cell_length_b 2.8906
_cell_length_c 7.9790
_cell_angle_alpha 90.00
_cell_angle_beta 90.00
_cell_angle_gamma 90.00
_symmetry_space_group_name_H-M 'P 4 m m'
_symmetry_Int_Tables_number 99
loop_
_symmetry_equiv_pos_as_xyz
'x,y,z'
'-y,x,z'
'-x,-y,z'
'y,-x,z'
'-x,y,z'
'y,x,z'
'x,-y,z'
'-y,-x,z'
loop_
_atom_site_label
_atom_site_type_symbol
_atom_site_fract_x
_atom_site_fract_y
_atom_site_fract_z
Ca1 Ca 0.0000 0.0000 0.0000
Si1 Si 0.5000 0.5000 0.7031
Os1 Os 0.0000 0.0000 0.5065
Os2 Os 0.5000 0.5000 0.2935
```

Peak list (8 most intense, 10 to 90 degrees two-theta, most intense first)
11.09°, rel. 100; 38.46°, rel. 63; 44.32°, rel. 23; 46.39°, rel. 21; 32.96°, rel. 17; 77.64°, rel. 16; 45.83°, rel. 14; 65.37°, rel. 10